Diffraction record for NaSr6Ca3. The PXRD pattern is simulated, not measured: it uses the GGA-PBE geometry in Alexandria and Cu Kα.

Top 6 peaks for 15° ≤ 2θ ≤ 90°, low angle first:
- 2θ = 23.63°, 3.766 Å, rel. 35, hkl 0 3 1
- 2θ = 24.84°, 3.584 Å, rel. 72, hkl 1 3 1
- 2θ = 27.18°, 3.281 Å, rel. 100, hkl 3 0 1
- 2θ = 29.16°, 3.063 Å, rel. 38, hkl 2 4 0
- 2θ = 29.36°, 3.042 Å, rel. 54, hkl 0 0 2
- 2θ = 29.86°, 2.992 Å, rel. 47, hkl 1 4 1

Atomic structure:
Cell: 11.6886 14.3834 6.0842 Å, 90.00 90.00 90.00°
Element x y z (fractional)
Na1 0.0000 0.0000 0.0000
Na2 0.5000 0.5000 0.5000
Sr1 0.0327 0.2401 0.0000
Sr2 0.1689 0.0719 0.5000
Sr3 0.2061 0.3788 0.5000
Sr4 0.2939 0.8788 0.0000
Sr5 0.3311 0.5719 0.0000
Sr6 0.4673 0.7401 0.5000
Sr7 0.5327 0.2599 0.5000
Sr8 0.6689 0.4281 0.0000
Sr9 0.7061 0.1212 0.0000
Sr10 0.7939 0.6212 0.5000
Sr11 0.8311 0.9281 0.5000
Sr12 0.9673 0.7599 0.0000
Ca1 0.0000 0.5000 0.0000
Ca2 0.1398 0.6700 0.5000
Ca3 0.3602 0.1700 0.0000
Ca4 0.5000 0.0000 0.5000
Ca5 0.6398 0.8300 0.0000
Ca6 0.8602 0.3300 0.5000